The following is a calculated powder X-ray diffraction pattern of Tm3Ga9Tc2. It was derived from a GGA-PBE-relaxed structure, using Cu Kα, 1.54184 Å.
Kinematic intensities with the Lorentz-polarization factor, no thermal factor.

The 6 most intense peaks (2θ = 10–90°), by angle:
- 35.7 deg, rel. 24
- 35.8 deg, rel. 100
- 37.0 deg, rel. 26
- 38.6 deg, rel. 21
- 42.9 deg, rel. 32
- 69.8 deg, rel. 19

Structure:
```
Tm3Ga9Tc2
1.0
-2.1097 4.6984 6.2546
2.1097 -4.6984 6.2546
2.1097 4.6984 -6.2546
Tm Ga Tc
3 9 2
Cartesian
0.0000 0.0000 0.0000 Tm
0.0000 0.0000 3.7624 Tm
0.0000 0.0000 8.7469 Tm
2.1097 -1.2664 1.9025 Ga
2.1097 -2.0280 4.5861 Ga
2.1097 1.2664 1.9025 Ga
0.0000 2.6704 1.6685 Ga
0.0000 4.6984 0.0000 Ga
2.1097 2.0280 4.5861 Ga
0.0000 3.4320 4.3521 Ga
0.0000 6.7264 1.6685 Ga
0.0000 5.9648 4.3521 Ga
2.1097 3.0669 0.0000 Tc
0.0000 1.6315 6.2546 Tc
```